Entry 1:
Theoretical powder diffraction line list
Compound: Ba2GeCl6
Radiation: Cu Kα
Structure: a structure optimized by DFT (PBE)

Atomic structure:
Unit cell a=6.9056 b=8.2156 c=11.7668 alpha=90.00 beta=123.79 gamma=90.00
Atoms (fractional coordinates):
Ba 0.2200 0.1091 0.2561
Ba 0.2200 0.3909 0.7561
Ba 0.7800 0.6091 0.2439
Ba 0.7800 0.8909 0.7439
Ge 0.5000 0.0000 0.0000
Ge 0.5000 0.5000 0.5000
Cl 0.1197 0.1613 0.9447
Cl 0.1197 0.3387 0.4447
Cl 0.2915 0.7034 0.9425
Cl 0.2915 0.7966 0.4425
Cl 0.3556 0.0340 0.7406
Cl 0.3556 0.4660 0.2406
Cl 0.6444 0.5340 0.7594
Cl 0.6444 0.9660 0.2594
Cl 0.7085 0.2034 0.5575
Cl 0.7085 0.2966 0.0575
Cl 0.8803 0.6613 0.5553
Cl 0.8803 0.8387 0.0553

Most intense lines, 2θ = 10–90°, by angle:
2θ/deg  Rel. int.
18.9  100.0
19.3  92.7
23.5  93.6
25.2  97.6
29.2  81.8
35.1  93.8
35.3  84.4
36.3  81.9

Entry 2:
Theoretical powder diffraction line list
Compound: Li2IF
Radiation: Cu Kα
Structure: a structure optimized by DFT (PBE)

Atomic structure:
Unit cell a=3.9619 b=3.9619 c=19.1799 alpha=90.00 beta=90.00 gamma=120.00
Atoms (fractional coordinates):
Li 0.0000 0.0000 0.0000
Li 0.0000 0.0000 0.4526
Li 0.3333 0.6667 0.1193
Li 0.3333 0.6667 0.6667
Li 0.6667 0.3333 0.3333
Li 0.6667 0.3333 0.7860
I 0.0000 0.0000 0.8554
I 0.3333 0.6667 0.5220
I 0.6667 0.3333 0.1887
F 0.0000 0.0000 0.3576
F 0.3333 0.6667 0.0243
F 0.6667 0.3333 0.6909

Most intense lines, 2θ = 10–90°, by angle:
2θ/deg  Rel. int.
13.9  80.2
26.4  55.9
27.6  100.0
27.9  31.6
32.1  58.7
35.1  29.6
45.8  27.2
54.5  27.2

Entry 3:
Theoretical powder diffraction line list
Compound: Na2Zn3Cd9
Radiation: Cu Kα
Structure: a structure optimized by DFT (PBE)

Atomic structure:
Unit cell a=8.3355 b=8.3355 c=11.2709 alpha=110.73 beta=110.73 gamma=59.83
Atoms (fractional coordinates):
Na 0.0812 0.2489 0.2483
Na 0.2489 0.0812 0.7483
Na 0.7511 0.9188 0.2517
Na 0.9188 0.7511 0.7517
Zn 0.0000 0.5000 0.0000
Zn 0.1496 0.6790 0.5040
Zn 0.3210 0.8504 0.9960
Zn 0.5000 0.0000 0.5000
Zn 0.6790 0.1496 0.0040
Zn 0.8504 0.3210 0.4960
Cd 0.0285 0.8579 0.0793
Cd 0.1421 0.9715 0.4207
Cd 0.1898 0.3579 0.5741
Cd 0.1913 0.5794 0.2528
Cd 0.3078 0.4759 0.9295
Cd 0.3579 0.1898 0.0741
Cd 0.3634 0.6366 0.7500
Cd 0.4206 0.8087 0.2472
Cd 0.4759 0.3078 0.4295
Cd 0.5241 0.6922 0.5705
Cd 0.5794 0.1913 0.7528
Cd 0.6366 0.3634 0.2500
Cd 0.6421 0.8102 0.9259
Cd 0.6922 0.5241 0.0705
Cd 0.8087 0.4206 0.7472
Cd 0.8102 0.6421 0.4259
Cd 0.8579 0.0285 0.5793
Cd 0.9715 0.1421 0.9207

Most intense lines, 2θ = 10–90°, by angle:
2θ/deg  Rel. int.
23.1  19.2
33.5  46.9
33.9  42.5
34.2  39.8
37.4  100.0
40.9  14.9
41.3  29.8
41.6  30.7

Entry 4:
Theoretical powder diffraction line list
Compound: Cs5Cd4Hg
Radiation: Cu Kα
Structure: a structure optimized by DFT (PBE)

Atomic structure:
Unit cell a=12.5233 b=12.5233 c=10.0379 alpha=112.66 beta=112.66 gamma=23.09
Atoms (fractional coordinates):
Cs 0.0000 0.0000 0.0000
Cs 0.3002 0.3002 0.7127
Cs 0.3687 0.3687 0.2367
Cs 0.6313 0.6313 0.7633
Cs 0.6998 0.6998 0.2873
Cd 0.1169 0.1169 0.4382
Cd 0.4591 0.4591 0.6374
Cd 0.5409 0.5409 0.3626
Cd 0.8831 0.8831 0.5618
Hg 0.0000 0.0000 0.5000

Most intense lines, 2θ = 10–90°, by angle:
2θ/deg  Rel. int.
21.3  43.4
23.5  71.3
25.4  100.0
27.7  47.1
31.2  52.5
32.3  55.2
35.8  62.8
44.8  38.8